This entry pairs a crystal structure of TeMo2SeS2 with its theoretical X-ray diffraction stick pattern. Radiation: Cu Kα (weighted mean of Kα1 and Kα2). Structure: a DFT-relaxed cell (GGA-PBE, the Materials Project).

Structure:
Cell lengths 3.309, 3.309, 38.976 Å; angles 90.00, 90.00, 120.00 degrees
Element x y z (fractional)
Te (0.000, 0.000, 0.000)
Te (0.000, 0.000, 0.098)
Mo (0.000, 0.000, 0.237)
Mo (0.000, 0.000, 0.860)
Mo (0.667, 0.333, 0.049)
Mo (0.667, 0.333, 0.673)
Se (0.667, 0.333, 0.816)
Se (0.667, 0.333, 0.903)
S (0.000, 0.000, 0.634)
S (0.000, 0.000, 0.712)
S (0.667, 0.333, 0.198)
S (0.667, 0.333, 0.276)

Most intense lines, 2θ = 5–70°, in order of rising 2θ:
two_theta, d (Å), I/Imax, index
11.4, 7.795, 1000, 0 0 5
13.6, 6.496, 117, 0 0 6
31.2, 2.862, 503, 1 0 0
33.3, 2.689, 118, 1 0 5
35.2, 2.548, 150, 0 1 7
36.4, 2.470, 724, 1 0 8
37.6, 2.390, 198, 1 0 9
43.7, 2.071, 492, 0 1 13
45.4, 1.997, 160, 1 0 14
55.6, 1.654, 315, 1 1 0